Theoretical powder diffractogram of NaCeSe for Cu Kα (weighted mean of Kα1 and Kα2), from a crystal structure in Alexandria, relaxed with GGA-PBE.
No peak broadening, texture or thermal motion is included.

Structure:
Cell lengths 7.4367, 7.4367, 8.1983 Å; angles 90.00, 90.00, 82.29 degrees
Element x y z (fractional)
Na (0.1870, 0.1870, 0.0000)
Na (0.3130, 0.3130, 0.5000)
Na (0.6870, 0.6870, 0.5000)
Na (0.8130, 0.8130, 0.0000)
Ce (0.1206, 0.8794, 0.5685)
Ce (0.3794, 0.6206, 0.0685)
Ce (0.6206, 0.3794, 0.9315)
Ce (0.8794, 0.1206, 0.4315)
Se (0.1110, 0.8890, 0.2136)
Se (0.3890, 0.6110, 0.7136)
Se (0.6110, 0.3890, 0.2864)
Se (0.8890, 0.1110, 0.7864)

Main lines, sorted by position (10 to 90 degrees two-theta):
| d_spacing | I/Imax |
| --- | --- |
| 5.600 | 100 |
| 5.481 | 43 |
| 3.582 | 31 |
| 3.210 | 26 |
| 2.800 | 21 |
| 2.489 | 16 |
| 2.386 | 21 |
| 2.242 | 25 |
| 2.195 | 33 |
| 1.816 | 19 |

Theoretical powder diffractogram of Na4Ce3Se8 for Cu Kα (weighted mean of Kα1 and Kα2), from a crystal structure in Alexandria, relaxed with GGA-PBE.
No peak broadening, texture or thermal motion is included.

Structure:
Cell lengths 8.9178, 8.9178, 8.9178 Å; angles 56.85, 56.85, 56.85 degrees
Element x y z (fractional)
Na (0.0000, 0.0000, 0.0000)
Na (0.1393, 0.1393, 0.1393)
Na (0.5000, 0.5000, 0.5000)
Na (0.8607, 0.8607, 0.8607)
Ce (0.0000, 0.5000, 0.5000)
Ce (0.5000, 0.0000, 0.5000)
Ce (0.5000, 0.5000, 0.0000)
Se (0.2470, 0.2470, 0.7187)
Se (0.2470, 0.7187, 0.2470)
Se (0.2654, 0.2654, 0.2654)
Se (0.2813, 0.7530, 0.7530)
Se (0.7187, 0.2470, 0.2470)
Se (0.7346, 0.7346, 0.7346)
Se (0.7530, 0.2813, 0.7530)
Se (0.7530, 0.7530, 0.2813)

Main lines, sorted by position (10 to 90 degrees two-theta):
| d_spacing | I/Imax |
| --- | --- |
| 7.450 | 74 |
| 6.985 | 15 |
| 3.628 | 23 |
| 3.071 | 100 |
| 2.411 | 32 |
| 2.224 | 39 |
| 2.123 | 43 |
| 2.041 | 17 |
| 1.746 | 19 |
| 1.348 | 16 |

Theoretical powder diffractogram of Na3CeSm2Se6 for Cu Kα (weighted mean of Kα1 and Kα2), from a crystal structure in Alexandria, relaxed with GGA-PBE.
No peak broadening, texture or thermal motion is included.

Structure:
Cell lengths 7.3740, 7.3740, 7.4075 Å; angles 99.55, 99.55, 120.00 degrees
Element x y z (fractional)
Na (0.0000, 0.0000, 0.0000)
Na (0.3332, 0.6668, 0.0000)
Na (0.6668, 0.3332, 0.0000)
Ce (0.5000, 0.5000, 0.5000)
Sm (0.1667, 0.8333, 0.5000)
Sm (0.8333, 0.1667, 0.5000)
Se (0.0856, 0.4218, 0.2654)
Se (0.2421, 0.2421, 0.7347)
Se (0.4218, 0.0856, 0.2654)
Se (0.5782, 0.9144, 0.7346)
Se (0.7579, 0.7579, 0.2653)
Se (0.9144, 0.5782, 0.7346)

Main lines, sorted by position (10 to 90 degrees two-theta):
| d_spacing | I/Imax |
| --- | --- |
| 6.988 | 42 |
| 3.631 | 20 |
| 3.016 | 100 |
| 2.325 | 12 |
| 2.136 | 37 |
| 2.129 | 37 |
| 1.739 | 20 |
| 1.350 | 16 |
| 1.347 | 17 |
| 1.230 | 12 |

Theoretical powder diffractogram of Na2Ce3SmSe6 for Cu Kα (weighted mean of Kα1 and Kα2), from a crystal structure in Alexandria, relaxed with GGA-PBE.
No peak broadening, texture or thermal motion is included.

Structure:
Cell lengths 7.3147, 7.3147, 7.3388 Å; angles 99.53, 99.53, 119.97 degrees
Element x y z (fractional)
Na (0.1659, 0.8341, 0.0000)
Na (0.8341, 0.1659, 0.0000)
Ce (0.0000, 0.0000, 0.5000)
Ce (0.3303, 0.6697, 0.5000)
Ce (0.6697, 0.3303, 0.5000)
Sm (0.5000, 0.5000, 0.0000)
Se (0.0883, 0.4171, 0.7519)
Se (0.2558, 0.2558, 0.2521)
Se (0.4171, 0.0883, 0.7519)
Se (0.5829, 0.9117, 0.2481)
Se (0.7442, 0.7442, 0.7479)
Se (0.9117, 0.5829, 0.2481)

Main lines, sorted by position (10 to 90 degrees two-theta):
| d_spacing | I/Imax |
| --- | --- |
| 6.925 | 10 |
| 2.991 | 100 |
| 2.118 | 37 |
| 2.112 | 37 |
| 1.731 | 7 |
| 1.725 | 19 |
| 1.495 | 12 |
| 1.338 | 11 |
| 1.336 | 16 |
| 1.220 | 14 |

Theoretical powder diffractogram of NaTb2Ce3Se6 for Cu Kα (weighted mean of Kα1 and Kα2), from a crystal structure in Alexandria, relaxed with GGA-PBE.
No peak broadening, texture or thermal motion is included.

Structure:
Cell lengths 7.2067, 7.2067, 7.2553 Å; angles 99.53, 99.53, 120.01 degrees
Element x y z (fractional)
Na (0.0000, 0.0000, 0.0000)
Tb (0.3334, 0.6666, 0.0000)
Tb (0.6666, 0.3334, 0.0000)
Ce (0.1648, 0.8352, 0.5000)
Ce (0.5000, 0.5000, 0.5000)
Ce (0.8352, 0.1648, 0.5000)
Se (0.0804, 0.4150, 0.2411)
Se (0.2547, 0.2547, 0.7616)
Se (0.4150, 0.0804, 0.2411)
Se (0.5850, 0.9196, 0.7589)
Se (0.7453, 0.7453, 0.2384)
Se (0.9196, 0.5850, 0.7589)

Main lines, sorted by position (10 to 90 degrees two-theta):
| d_spacing | I/Imax |
| --- | --- |
| 3.400 | 7 |
| 2.949 | 100 |
| 2.091 | 37 |
| 2.080 | 37 |
| 1.712 | 7 |
| 1.700 | 19 |
| 1.475 | 12 |
| 1.322 | 17 |
| 1.316 | 17 |
| 1.203 | 12 |

Theoretical powder diffractogram of NaCeTlSe3 for Cu Kα (weighted mean of Kα1 and Kα2), from a crystal structure in Alexandria, relaxed with GGA-PBE.
No peak broadening, texture or thermal motion is included.

Structure:
Cell lengths 7.9977, 4.2989, 10.2385 Å; angles 90.00, 93.19, 90.00 degrees
Element x y z (fractional)
Na (0.2363, 0.2500, 0.4899)
Na (0.7637, 0.7500, 0.5101)
Ce (0.4199, 0.7500, 0.8148)
Ce (0.5801, 0.2500, 0.1852)
Tl (0.0613, 0.7500, 0.1661)
Tl (0.9387, 0.2500, 0.8339)
Se (0.1164, 0.7500, 0.6686)
Se (0.3056, 0.2500, 0.9821)
Se (0.4312, 0.7500, 0.3240)
Se (0.5688, 0.2500, 0.6760)
Se (0.6944, 0.7500, 0.0179)
Se (0.8836, 0.2500, 0.3314)

Main lines, sorted by position (10 to 90 degrees two-theta):
| d_spacing | I/Imax |
| --- | --- |
| 5.111 | 16 |
| 3.788 | 13 |
| 3.581 | 14 |
| 3.081 | 100 |
| 3.065 | 47 |
| 2.263 | 34 |
| 2.209 | 15 |
| 2.149 | 19 |
| 2.093 | 33 |
| 1.760 | 20 |

Theoretical powder diffractogram of NaCe3Y2Se6 for Cu Kα (weighted mean of Kα1 and Kα2), from a crystal structure in Alexandria, relaxed with GGA-PBE.
No peak broadening, texture or thermal motion is included.

Structure:
Cell lengths 9.3333, 9.3333, 8.3721 Å; angles 103.06, 103.06, 25.69 degrees
Element x y z (fractional)
Na (0.0000, 0.0000, 0.0000)
Ce (0.0000, 0.0000, 0.5000)
Ce (0.3353, 0.3353, 0.1672)
Ce (0.6647, 0.6647, 0.8328)
Y (0.3319, 0.3319, 0.6620)
Y (0.6681, 0.6681, 0.3380)
Se (0.1659, 0.1659, 0.0919)
Se (0.1682, 0.1682, 0.5790)
Se (0.4960, 0.4960, 0.7508)
Se (0.5040, 0.5040, 0.2492)
Se (0.8318, 0.8318, 0.4210)
Se (0.8341, 0.8341, 0.9081)

Main lines, sorted by position (10 to 90 degrees two-theta):
| d_spacing | I/Imax |
| --- | --- |
| 6.834 | 7 |
| 2.948 | 100 |
| 2.093 | 12 |
| 2.085 | 49 |
| 2.075 | 12 |
| 1.707 | 13 |
| 1.697 | 13 |
| 1.474 | 12 |
| 1.319 | 16 |
| 1.200 | 8 |

Theoretical powder diffractogram of NaCeTc for Cu Kα (weighted mean of Kα1 and Kα2), from a crystal structure in Alexandria, relaxed with GGA-PBE.
No peak broadening, texture or thermal motion is included.

Structure:
Cell lengths 12.3446, 12.3446, 12.3446 Å; angles 20.73, 20.73, 20.73 degrees
Element x y z (fractional)
Na (0.1994, 0.1994, 0.1994)
Na (0.8006, 0.8006, 0.8006)
Ce (0.3874, 0.3874, 0.3874)
Ce (0.6126, 0.6126, 0.6126)
Tc (0.3254, 0.3254, 0.3254)
Tc (0.6746, 0.6746, 0.6746)

Main lines, sorted by position (10 to 90 degrees two-theta):
| d_spacing | I/Imax |
| --- | --- |
| 3.825 | 100 |
| 3.541 | 98 |
| 3.398 | 24 |
| 2.637 | 26 |
| 2.257 | 19 |
| 2.221 | 77 |
| 2.184 | 49 |
| 2.147 | 45 |
| 1.864 | 36 |
| 1.491 | 20 |